Diffraction record for CaMnFeGe2. The powder diffractogram is simulated, not measured: it uses a structure optimized by DFT (PBE) and CuKα.

Crystal structure
a b c (Å): 3.9372 3.9372 11.0824
angles (deg): 90.00 90.00 90.00
Space group I-4m2 (No. 119)
Unique sites:
Ca 0.0000 0.0000 0.0000
Mn 0.0000 0.5000 0.7500
Fe 0.0000 0.5000 0.2500
Ge 0.0000 0.0000 0.3784

Top 10 peaks for 10° ≤ 2θ ≤ 90°, sorted by position:
(hkl)	d_spacing	two_theta	intensity
0 0 2	5.541	15.99	324
1 0 1	3.710	23.99	466
1 0 3	2.694	33.26	944
1 1 2	2.488	36.11	1000
2 0 0	1.969	46.11	860
1 1 4	1.964	46.23	909
1 0 5	1.931	47.05	436
2 1 3	1.589	58.03	358
2 1 5	1.379	68.00	276
3 1 4	1.136	85.51	287

Diffraction record for LaCeMn4Si4. The powder diffractogram is simulated, not measured: it uses a structure optimized by DFT (PBE) and CuKα.

Crystal structure
a b c (Å): 3.9763 3.9763 10.5213
angles (deg): 90.00 90.00 90.00
Space group P4/mmm (No. 123)
Unique sites:
La 0.0000 0.0000 0.0000
Ce 0.5000 0.5000 0.5000
Mn 0.0000 0.5000 0.2555
Si 0.0000 0.0000 0.3790
Si 0.5000 0.5000 0.1292

Top 10 peaks for 10° ≤ 2θ ≤ 90°, sorted by position:
(hkl)	d_spacing	two_theta	intensity
1 0 1	3.720	23.92	429
0 0 4	2.630	34.09	778
1 1 2	2.480	36.23	1000
2 0 0	1.988	45.63	384
1 0 5	1.860	48.98	218
2 0 4	1.586	58.16	396
1 1 6	1.488	62.41	189
2 2 0	1.406	66.51	146
2 1 5	1.358	69.17	153
3 1 2	1.223	78.15	195